Calculated powder X-ray diffraction pattern of CaVS2O8 for Cu Kα X-rays, from a DFT-relaxed cell (PBE+U, Alexandria).

Cell and atoms:
```
data_CaVS2O8
_chemical_formula_sum 'Ca1 V1 S2 O8'
_space_group_name_H-M_alt 'P -3'
_space_group_IT_number 147
_space_group_name_Hall '-P 3'
_cell_length_a 5.1800
_cell_length_b 5.1800
_cell_length_c 6.8791
_cell_angle_alpha 90.00
_cell_angle_beta 90.00
_cell_angle_gamma 120.00
loop_
_atom_site_label
_atom_site_fract_x
_atom_site_fract_y
_atom_site_fract_z
Ca1 0.0000 0.0000 0.0000
V1 0.0000 0.0000 0.5000
S1 0.3333 0.6667 0.7831
O1 0.1737 0.3520 0.7135
O2 0.3333 0.6667 0.9971
```

Principal peaks in the range 2θ = 10–80°, sorted by position:
4.486 Å, I = 21
3.758 Å, I = 100
2.730 Å, I = 40
2.590 Å, I = 46
2.069 Å, I = 15
1.879 Å, I = 33
1.646 Å, I = 11
1.521 Å, I = 9
1.433 Å, I = 11
1.295 Å, I = 11